(1)
Structure and theoretical XRD peak list of Sb5Pb3 (a DFT-relaxed cell (GGA-PBE, Alexandria); Cu Kα (λ = 1.5418 Å)).

Structural model:
```
data_Sb5Pb3
_chemical_formula_sum 'Sb10 Pb6'
_space_group_name_H-M_alt 'P 1'
_space_group_IT_number 1
_space_group_name_Hall 'P 1'
_cell_length_a 6.448
_cell_length_b 9.024
_cell_length_c 9.766
_cell_angle_alpha 101.52
_cell_angle_beta 107.97
_cell_angle_gamma 102.48
loop_
_atom_site_label
_atom_site_fract_x
_atom_site_fract_y
_atom_site_fract_z
_atom_site_occupancy
Sb1 0.143 0.368 0.196 1
Sb2 0.172 0.385 0.693 1
Sb3 0.201 0.876 0.748 1
Sb4 0.334 0.126 0.058 1
Sb5 0.339 0.123 0.578 1
Sb6 0.661 0.877 0.422 1
Sb7 0.666 0.874 0.942 1
Sb8 0.799 0.124 0.252 1
Sb9 0.828 0.615 0.307 1
Sb10 0.857 0.632 0.804 1
Pb1 0.154 0.889 0.243 1
Pb2 0.334 0.634 0.522 1
Pb3 0.337 0.626 0.035 1
Pb4 0.663 0.374 0.965 1
Pb5 0.666 0.366 0.478 1
Pb6 0.846 0.111 0.757 1
```

The 10 most intense peaks (10° ≤ 2θ ≤ 90°), in order of falling intensity:
2θ (°)  d (Å)  I (rel.)
28.39  3.144  100
30.18  2.961  82
31.58  2.833  63
29.34  3.044  60
42.86  2.110  34
40.95  2.204  28
42.50  2.127  26
43.24  2.092  26
30.51  2.930  26
29.54  3.024  25

***

(2)
Structure and theoretical XRD peak list of Sb4Pb11 (a DFT-relaxed cell (GGA-PBE, Alexandria); Cu Kα (λ = 1.5418 Å)).

Structural model:
```
data_Sb4Pb11
_chemical_formula_sum 'Sb8 Pb22'
_space_group_name_H-M_alt 'P 1'
_space_group_IT_number 1
_space_group_name_Hall 'P 1'
_cell_length_a 6.700
_cell_length_b 11.590
_cell_length_c 12.450
_cell_angle_alpha 89.87
_cell_angle_beta 89.50
_cell_angle_gamma 84.16
loop_
_atom_site_label
_atom_site_fract_x
_atom_site_fract_y
_atom_site_fract_z
_atom_site_occupancy
Sb1 0.073 0.153 0.446 1
Sb2 0.087 0.571 0.855 1
Sb3 0.420 0.929 0.356 1
Sb4 0.422 0.344 0.947 1
Sb5 0.578 0.656 0.053 1
Sb6 0.580 0.071 0.644 1
Sb7 0.913 0.429 0.145 1
Sb8 0.927 0.847 0.554 1
Pb1 0.000 0.000 0.000 1
Pb2 0.014 0.583 0.607 1
Pb3 0.039 0.705 0.082 1
Pb4 0.103 0.038 0.703 1
Pb5 0.162 0.702 0.357 1
Pb6 0.174 0.187 0.191 1
Pb7 0.323 0.316 0.692 1
Pb8 0.340 0.798 0.856 1
Pb9 0.395 0.465 0.201 1
Pb10 0.467 0.793 0.582 1
Pb11 0.481 0.918 0.107 1
Pb12 0.500 0.500 0.500 1
Pb13 0.519 0.082 0.893 1
Pb14 0.533 0.207 0.418 1
Pb15 0.605 0.535 0.799 1
Pb16 0.660 0.202 0.144 1
Pb17 0.677 0.684 0.308 1
Pb18 0.826 0.813 0.809 1
Pb19 0.838 0.298 0.643 1
Pb20 0.897 0.962 0.297 1
Pb21 0.961 0.295 0.918 1
Pb22 0.986 0.417 0.393 1
```

The 10 most intense peaks (10° ≤ 2θ ≤ 90°), in order of falling intensity:
2θ (°)  d (Å)  I (rel.)
31.87  2.808  100
29.73  3.005  78
30.51  2.930  57
30.37  2.943  56
32.37  2.766  50
33.12  2.705  41
31.76  2.817  34
32.93  2.720  34
31.70  2.822  33
33.47  2.677  31

***

(3)
Structure and theoretical XRD peak list of Sb6Pb7 (a DFT-relaxed cell (GGA-PBE, Alexandria); Cu Kα (λ = 1.5418 Å)).

Structural model:
```
data_Sb6Pb7
_chemical_formula_sum 'Sb6 Pb7'
_space_group_name_H-M_alt 'P 1'
_space_group_IT_number 1
_space_group_name_Hall 'P 1'
_cell_length_a 11.742
_cell_length_b 11.742
_cell_length_c 11.742
_cell_angle_alpha 33.37
_cell_angle_beta 33.37
_cell_angle_gamma 33.37
loop_
_atom_site_label
_atom_site_fract_x
_atom_site_fract_y
_atom_site_fract_z
_atom_site_occupancy
Sb1 0.079 0.079 0.079 1
Sb2 0.166 0.166 0.166 1
Sb3 0.337 0.337 0.337 1
Sb4 0.663 0.663 0.663 1
Sb5 0.834 0.834 0.834 1
Sb6 0.921 0.921 0.921 1
Pb1 0.077 0.582 0.582 1
Pb2 0.418 0.418 0.923 1
Pb3 0.418 0.923 0.418 1
Pb4 0.500 0.500 0.500 1
Pb5 0.582 0.077 0.582 1
Pb6 0.582 0.582 0.077 1
Pb7 0.923 0.418 0.418 1
```

The 10 most intense peaks (10° ≤ 2θ ≤ 90°), in order of falling intensity:
2θ (°)  d (Å)  I (rel.)
36.12  2.487  100
33.53  2.673  89
31.05  2.880  85
32.33  2.769  76
30.74  2.908  68
64.74  1.440  63
16.01  5.537  57
54.43  1.686  56
15.41  5.751  34
31.10  2.875  33

***

(4)
Structure and theoretical XRD peak list of Sb3Pb4 (a DFT-relaxed cell (GGA-PBE, Alexandria); Cu Kα (λ = 1.5418 Å)).

Structural model:
```
data_Sb3Pb4
_chemical_formula_sum 'Sb6 Pb8'
_space_group_name_H-M_alt 'P 1'
_space_group_IT_number 1
_space_group_name_Hall 'P 1'
_cell_length_a 7.962
_cell_length_b 8.427
_cell_length_c 8.430
_cell_angle_alpha 110.53
_cell_angle_beta 108.31
_cell_angle_gamma 108.32
loop_
_atom_site_label
_atom_site_fract_x
_atom_site_fract_y
_atom_site_fract_z
_atom_site_occupancy
Sb1 0.037 0.264 0.131 1
Sb2 0.273 0.366 0.736 1
Sb3 0.407 0.870 0.634 1
Sb4 0.593 0.130 0.366 1
Sb5 0.727 0.634 0.264 1
Sb6 0.963 0.736 0.869 1
Pb1 0.000 0.500 0.500 1
Pb2 0.150 0.987 0.360 1
Pb3 0.289 0.640 0.126 1
Pb4 0.336 0.126 0.986 1
Pb5 0.500 0.500 0.500 1
Pb6 0.664 0.874 0.014 1
Pb7 0.711 0.360 0.874 1
Pb8 0.850 0.013 0.640 1
```

The 10 most intense peaks (10° ≤ 2θ ≤ 90°), in order of falling intensity:
2θ (°)  d (Å)  I (rel.)
29.86  2.993  100
29.06  3.072  82
34.22  2.620  51
35.13  2.554  32
36.24  2.479  21
47.28  1.923  19
46.04  1.971  15
63.02  1.475  12
43.47  2.082  12
59.35  1.557  12

***

(5)
Structure and theoretical XRD peak list of Sb3Pb7 (a DFT-relaxed cell (GGA-PBE, Alexandria); Cu Kα (λ = 1.5418 Å)).

Structural model:
```
data_Sb3Pb7
_chemical_formula_sum 'Sb6 Pb14'
_space_group_name_H-M_alt 'P 1'
_space_group_IT_number 1
_space_group_name_Hall 'P 1'
_cell_length_a 10.564
_cell_length_b 10.564
_cell_length_c 6.711
_cell_angle_alpha 90.00
_cell_angle_beta 90.00
_cell_angle_gamma 120.00
loop_
_atom_site_label
_atom_site_fract_x
_atom_site_fract_y
_atom_site_fract_z
_atom_site_occupancy
Sb1 0.201 0.401 0.000 1
Sb2 0.201 0.799 0.000 1
Sb3 0.401 0.201 0.500 1
Sb4 0.599 0.799 0.000 1
Sb5 0.799 0.201 0.500 1
Sb6 0.799 0.599 0.500 1
Pb1 0.068 0.534 0.324 1
Pb2 0.111 0.223 0.585 1
Pb3 0.111 0.889 0.585 1
Pb4 0.223 0.111 0.085 1
Pb5 0.333 0.667 0.692 1
Pb6 0.466 0.534 0.324 1
Pb7 0.466 0.932 0.324 1
Pb8 0.534 0.068 0.824 1
Pb9 0.534 0.466 0.824 1
Pb10 0.667 0.333 0.192 1
Pb11 0.777 0.889 0.585 1
Pb12 0.889 0.111 0.085 1
Pb13 0.889 0.777 0.085 1
Pb14 0.932 0.466 0.824 1
```

The 10 most intense peaks (10° ≤ 2θ ≤ 90°), in order of falling intensity:
2θ (°)  d (Å)  I (rel.)
29.05  3.074  100
32.24  2.776  95
33.11  2.705  56
28.33  3.150  44
60.49  1.531  28
51.93  1.761  28
33.94  2.641  26
29.29  3.050  20
51.79  1.765  19
41.72  2.165  18

***

(6)
Structure and theoretical XRD peak list of Sc10Sb3Pb3 (a DFT-relaxed cell (GGA-PBE, Alexandria); Cu Kα (λ = 1.5418 Å)).

Structural model:
```
data_Sc10Sb3Pb3
_chemical_formula_sum 'Sc10 Sb3 Pb3'
_space_group_name_H-M_alt 'P 1'
_space_group_IT_number 1
_space_group_name_Hall 'P 1'
_cell_length_a 8.506
_cell_length_b 8.506
_cell_length_c 6.041
_cell_angle_alpha 90.00
_cell_angle_beta 90.00
_cell_angle_gamma 120.00
loop_
_atom_site_label
_atom_site_fract_x
_atom_site_fract_y
_atom_site_fract_z
_atom_site_occupancy
Sc1 0.000 0.240 0.000 1
Sc2 0.000 0.762 0.500 1
Sc3 0.238 0.238 0.500 1
Sc4 0.240 0.000 0.000 1
Sc5 0.333 0.667 0.246 1
Sc6 0.333 0.667 0.754 1
Sc7 0.667 0.333 0.246 1
Sc8 0.667 0.333 0.754 1
Sc9 0.760 0.760 0.000 1
Sc10 0.762 0.000 0.500 1
Sb1 0.000 0.611 0.000 1
Sb2 0.389 0.389 0.000 1
Sb3 0.611 0.000 0.000 1
Pb1 0.000 0.392 0.500 1
Pb2 0.392 0.000 0.500 1
Pb3 0.608 0.608 0.500 1
```

The 10 most intense peaks (10° ≤ 2θ ≤ 90°), in order of falling intensity:
2θ (°)  d (Å)  I (rel.)
25.62  3.478  100
35.50  2.529  93
36.49  2.463  64
46.95  1.935  45
36.59  2.456  45
29.57  3.020  41
20.89  4.253  35
63.06  1.474  28
71.21  1.324  25
56.39  1.632  24

***

(7)
Structure and theoretical XRD peak list of Sc8Sb5Pb (a DFT-relaxed cell (GGA-PBE, Alexandria); Cu Kα (λ = 1.5418 Å)).

Structural model:
```
data_Sc8Sb5Pb
_chemical_formula_sum 'Sc8 Sb5 Pb1'
_space_group_name_H-M_alt 'P 1'
_space_group_IT_number 1
_space_group_name_Hall 'P 1'
_cell_length_a 7.557
_cell_length_b 7.557
_cell_length_c 7.557
_cell_angle_alpha 109.37
_cell_angle_beta 109.37
_cell_angle_gamma 109.68
loop_
_atom_site_label
_atom_site_fract_x
_atom_site_fract_y
_atom_site_fract_z
_atom_site_occupancy
Sc1 0.021 0.621 0.750 1
Sc2 0.224 0.470 0.094 1
Sc3 0.376 0.130 0.906 1
Sc4 0.379 0.129 0.400 1
Sc5 0.530 0.624 0.754 1
Sc6 0.729 0.979 0.600 1
Sc7 0.870 0.776 0.246 1
Sc8 0.871 0.271 0.250 1
Sb1 0.000 0.000 0.000 1
Sb2 0.127 0.250 0.623 1
Sb3 0.496 0.873 0.123 1
Sb4 0.627 0.504 0.377 1
Sb5 0.750 0.373 0.877 1
Pb1 0.250 0.750 0.500 1
```

The 10 most intense peaks (10° ≤ 2θ ≤ 90°), in order of falling intensity:
2θ (°)  d (Å)  I (rel.)
25.00  3.562  100
38.60  2.332  92
32.41  2.762  91
32.52  2.753  50
48.96  1.860  32
65.93  1.417  32
46.50  1.953  31
53.51  1.712  26
80.88  1.189  20
46.64  1.948  18

***

(8)
Structure and theoretical XRD peak list of ScSb2Pb (a DFT-relaxed cell (GGA-PBE, Alexandria); Cu Kα (λ = 1.5418 Å)).

Structural model:
```
data_ScSb2Pb
_chemical_formula_sum 'Sc1 Sb2 Pb1'
_space_group_name_H-M_alt 'P 1'
_space_group_IT_number 1
_space_group_name_Hall 'P 1'
_cell_length_a 3.535
_cell_length_b 3.535
_cell_length_c 8.884
_cell_angle_alpha 90.00
_cell_angle_beta 90.00
_cell_angle_gamma 102.61
loop_
_atom_site_label
_atom_site_fract_x
_atom_site_fract_y
_atom_site_fract_z
_atom_site_occupancy
Sc1 0.000 0.000 0.000 1
Sb1 0.500 0.500 0.217 1
Sb2 0.500 0.500 0.783 1
Pb1 0.000 0.000 0.500 1
```

The 10 most intense peaks (10° ≤ 2θ ≤ 90°), in order of falling intensity:
2θ (°)  d (Å)  I (rel.)
32.87  2.725  100
27.74  3.216  30
32.45  2.759  28
58.16  1.586  19
40.83  2.210  15
53.10  1.725  14
30.18  2.961  13
58.43  1.580  12
69.32  1.356  11
40.62  2.221  11

***

(9)
Structure and theoretical XRD peak list of SbPb3Se2 (a DFT-relaxed cell (GGA-PBE, Alexandria); Cu Kα (λ = 1.5418 Å)).

Structural model:
```
data_SbPb3Se2
_chemical_formula_sum 'Sb4 Pb12 Se8'
_space_group_name_H-M_alt 'P 1'
_space_group_IT_number 1
_space_group_name_Hall 'P 1'
_cell_length_a 14.570
_cell_length_b 13.916
_cell_length_c 7.674
_cell_angle_alpha 79.13
_cell_angle_beta 69.72
_cell_angle_gamma 31.15
loop_
_atom_site_label
_atom_site_fract_x
_atom_site_fract_y
_atom_site_fract_z
_atom_site_occupancy
Sb1 0.042 0.042 0.208 1
Sb2 0.208 0.208 0.042 1
Sb3 0.792 0.792 0.958 1
Sb4 0.958 0.958 0.792 1
Pb1 0.049 0.537 0.208 1
Pb2 0.131 0.619 0.619 1
Pb3 0.208 0.706 0.049 1
Pb4 0.294 0.792 0.463 1
Pb5 0.381 0.869 0.869 1
Pb6 0.463 0.951 0.294 1
Pb7 0.537 0.049 0.706 1
Pb8 0.619 0.131 0.131 1
Pb9 0.706 0.208 0.537 1
Pb10 0.792 0.294 0.951 1
Pb11 0.869 0.381 0.381 1
Pb12 0.951 0.463 0.792 1
Se1 0.124 0.124 0.626 1
Se2 0.291 0.291 0.459 1
Se3 0.374 0.374 0.876 1
Se4 0.459 0.459 0.291 1
Se5 0.541 0.541 0.709 1
Se6 0.626 0.626 0.124 1
Se7 0.709 0.709 0.541 1
Se8 0.876 0.876 0.374 1
```

The 10 most intense peaks (10° ≤ 2θ ≤ 90°), in order of falling intensity:
2θ (°)  d (Å)  I (rel.)
28.44  3.138  100
40.83  2.210  76
28.68  3.113  49
50.12  1.820  21
50.89  1.794  20
40.19  2.244  20
74.74  1.270  20
24.45  3.640  19
41.11  2.196  19
24.81  3.588  19

***

(10)
Structure and theoretical XRD peak list of SiSb2Pb (a DFT-relaxed cell (GGA-PBE, Alexandria); Cu Kα (λ = 1.5418 Å)).

Structural model:
```
data_SiSb2Pb
_chemical_formula_sum 'Si2 Sb4 Pb2'
_space_group_name_H-M_alt 'P 1'
_space_group_IT_number 1
_space_group_name_Hall 'P 1'
_cell_length_a 6.953
_cell_length_b 6.953
_cell_length_c 6.953
_cell_angle_alpha 114.86
_cell_angle_beta 114.86
_cell_angle_gamma 99.15
loop_
_atom_site_label
_atom_site_fract_x
_atom_site_fract_y
_atom_site_fract_z
_atom_site_occupancy
Si1 0.000 0.000 0.000 1
Si2 0.750 0.250 0.500 1
Sb1 0.062 0.625 0.937 1
Sb2 0.375 0.312 0.437 1
Sb3 0.688 0.125 0.063 1
Sb4 0.875 0.938 0.563 1
Pb1 0.250 0.750 0.500 1
Pb2 0.500 0.500 0.000 1
```

The 10 most intense peaks (10° ≤ 2θ ≤ 90°), in order of falling intensity:
2θ (°)  d (Å)  I (rel.)
25.96  3.432  100
28.44  3.138  55
33.87  2.647  39
43.16  2.096  39
47.06  1.931  37
37.40  2.405  21
15.38  5.760  17
53.65  1.708  17
32.09  2.789  16
70.01  1.344  12

***

(11)
Structure and theoretical XRD peak list of Sm3SbPb (a DFT-relaxed cell (GGA-PBE, Alexandria); Cu Kα (λ = 1.5418 Å)).

Structural model:
```
data_Sm3SbPb
_chemical_formula_sum 'Sm6 Sb2 Pb2'
_space_group_name_H-M_alt 'P 1'
_space_group_IT_number 1
_space_group_name_Hall 'P 1'
_cell_length_a 8.695
_cell_length_b 8.695
_cell_length_c 8.695
_cell_angle_alpha 50.28
_cell_angle_beta 50.28
_cell_angle_gamma 50.28
loop_
_atom_site_label
_atom_site_fract_x
_atom_site_fract_y
_atom_site_fract_z
_atom_site_occupancy
Sm1 0.023 0.593 0.171 1
Sm2 0.171 0.023 0.593 1
Sm3 0.407 0.829 0.977 1
Sm4 0.593 0.171 0.023 1
Sm5 0.829 0.977 0.407 1
Sm6 0.977 0.407 0.829 1
Sb1 0.166 0.166 0.166 1
Sb2 0.834 0.834 0.834 1
Pb1 0.375 0.375 0.375 1
Pb2 0.625 0.625 0.625 1
```

The 10 most intense peaks (10° ≤ 2θ ≤ 90°), in order of falling intensity:
2θ (°)  d (Å)  I (rel.)
32.11  2.788  100
34.27  2.616  91
26.85  3.320  76
28.17  3.168  67
33.89  2.645  60
42.37  2.133  40
20.91  4.249  34
35.54  2.526  30
40.54  2.225  27
52.17  1.753  26

***

(12)
Structure and theoretical XRD peak list of SmSbPb (a DFT-relaxed cell (GGA-PBE, Alexandria); Cu Kα (λ = 1.5418 Å)).

Structural model:
```
data_SmSbPb
_chemical_formula_sum 'Sm2 Sb2 Pb2'
_space_group_name_H-M_alt 'P 1'
_space_group_IT_number 1
_space_group_name_Hall 'P 1'
_cell_length_a 4.289
_cell_length_b 4.289
_cell_length_c 10.840
_cell_angle_alpha 90.00
_cell_angle_beta 90.00
_cell_angle_gamma 90.00
loop_
_atom_site_label
_atom_site_fract_x
_atom_site_fract_y
_atom_site_fract_z
_atom_site_occupancy
Sm1 0.250 0.250 0.120 1
Sm2 0.750 0.750 0.880 1
Sb1 0.250 0.250 0.819 1
Sb2 0.750 0.750 0.181 1
Pb1 0.250 0.250 0.426 1
Pb2 0.750 0.750 0.574 1
```

The 10 most intense peaks (10° ≤ 2θ ≤ 90°), in order of falling intensity:
2θ (°)  d (Å)  I (rel.)
29.45  3.033  100
32.40  2.763  84
54.14  1.694  40
42.14  2.144  38
38.77  2.323  26
24.64  3.613  22
69.29  1.356  18
44.85  2.021  15
26.50  3.363  13
49.42  1.844  13